Starting from a DFT-relaxed cell (PBE, Alexandria), the XRD peak list of AcThFeN4 was simulated for Cu Ka.
Peak positions follow from Bragg's law for the DFT cell and can differ from measured ones.

Principal peaks in the range 15° ≤ 2θ ≤ 90°, by angle:
24.28 deg, intensity 44, hkl 1 0 1
26.39 deg, intensity 24, hkl 0 0 4
30.74 deg, intensity 100, hkl 1 0 3
33.26 deg, intensity 59, hkl 1 1 0
42.95 deg, intensity 36, hkl 1 1 4
47.75 deg, intensity 26, hkl 2 0 0
53.21 deg, intensity 22, hkl 1 0 7
54.29 deg, intensity 15, hkl 0 0 8
55.38 deg, intensity 14, hkl 2 0 4
57.87 deg, intensity 35, hkl 2 1 3
74.26 deg, intensity 17, hkl 2 1 7
85.60 deg, intensity 10, hkl 3 1 4

Structural model:
Cell: 3.809 3.809 13.508 Å, 90.00 90.00 90.00°
Space group I4mm (No. 107)
One atom of each set of equivalent atoms:
Ac1 0.000 0.000 0.000
Th1 0.000 0.000 0.719
Fe1 0.000 0.000 0.336
N1 0.000 0.000 0.199
N2 0.000 0.000 0.551
N3 0.000 0.500 0.351


Starting from a DFT-relaxed cell (PBE, Alexandria), the XRD peak list of TiIrS3 was simulated for Cu Ka.
Peak positions follow from Bragg's law for the DFT cell and can differ from measured ones.

Principal peaks in the range 15° ≤ 2θ ≤ 90°, by angle:
16.28 deg, intensity 100, hkl 2 0 0
16.53 deg, intensity 86, hkl 1 1 -1
20.04 deg, intensity 25, hkl 1 1 1
23.09 deg, intensity 20, hkl 2 2 0
28.51 deg, intensity 37, hkl 1 3 -1
28.80 deg, intensity 21, hkl 0 0 2
32.90 deg, intensity 25, hkl 4 0 0
35.15 deg, intensity 83, hkl 3 3 -1
36.90 deg, intensity 18, hkl 2 4 0
37.08 deg, intensity 39, hkl 2 0 2
49.39 deg, intensity 25, hkl 1 3 -3
54.55 deg, intensity 23, hkl 5 3 1

Structural model:
Cell: 11.308 10.907 6.448 Å, 90.00 105.85 90.00°
Space group C2/c (No. 15)
One atom of each set of equivalent atoms:
Ti1 0.000 0.034 0.250
Ti2 0.000 0.325 0.750
Ir1 0.246 0.086 0.977
S1 0.126 0.242 0.078
S2 0.134 0.082 0.597
S3 0.144 0.431 0.649